Diffraction record for Pm2HgGe4Rh3. The powder diffractogram is simulated, not measured: it uses DFT lattice parameters and positions (PBE) and Cu Kα (weighted mean of Kα1 and Kα2).
Peak positions follow from Bragg's law for the DFT cell and can differ from measured ones.

Principal peaks in the range 10 to 90 degrees two-theta, sorted by position:
Position (°2θ), I/Imax, h k l
33.28, 46, 1 0 3
34.04, 100, 1 1 2
41.69, 60, 2 0 0
54.35, 23, 2 1 3
60.42, 20, 2 2 0
71.20, 23, 3 1 2

Structural model:
Lattice parameters (Å, degrees): 4.3334 4.3334 10.3074 90.00 90.00 90.00
Space group P-4m2 (No. 115)
Asymmetric unit:
1 Pm 0.0000 0.5000 0.2345
2 Hg 0.0000 0.0000 0.5000
3 Ge 0.0000 0.0000 0.0000
4 Ge 0.0000 0.5000 0.6489
5 Ge 0.5000 0.5000 0.0000
6 Rh 0.0000 0.5000 0.8824
7 Rh 0.5000 0.5000 0.5000